No. 1
# CsMn2P2
Theoretical powder XRD pattern, CuKα. Input: a DFT-relaxed cell (GGA-PBE, the Materials Project).
Lines closer than 0.1° are merged.

Most intense lines, 5° ≤ 2θ ≤ 70°, by angle:
- d 3.700, I = 94, hkl 0 0 4
- d 3.021, I = 100, hkl 1 0 3
- d 2.539, I = 75, hkl 1 1 2
- d 1.911, I = 32, hkl 2 0 0
- d 1.822, I = 54, hkl 1 1 6
- d 1.698, I = 31, hkl 2 0 4
- d 1.615, I = 29, hkl 2 1 3
- d 1.510, I = 14, hkl 1 0 9

Structure:
Lattice parameters (Å, degrees): 3.8226 3.8226 14.7962 90.00 90.00 90.00
Space group I4/mmm (No. 139)
One atom of each set of equivalent atoms:
Cs: 0.0000 0.0000 0.0000 x2
Mn: 0.0000 0.5000 0.2500 x4
P: 0.0000 0.0000 0.3334 x4



No. 2
# Cs2MnS2
Theoretical powder XRD pattern, CuKα. Input: a DFT-relaxed cell (GGA-PBE, the Materials Project).
Lines closer than 0.1° are merged.

Most intense lines, 5° ≤ 2θ ≤ 70°, by angle:
- d 4.013, I = 89, hkl 1 2 1
- d 3.939, I = 60, hkl 1 3 0
- d 3.265, I = 42, hkl 0 0 2
- d 3.154, I = 100, hkl 2 1 1
- d 2.839, I = 43, hkl 1 4 1
- d 2.381, I = 48, hkl 0 4 2
- d 2.111, I = 33, hkl 2 5 1
- d 1.820, I = 34, hkl 3 3 2

Structure:
Lattice parameters (Å, degrees): 7.4593 13.9164 6.5293 90.00 90.00 90.00
Space group Ibam (No. 72)
One atom of each set of equivalent atoms:
Cs: 0.1606 0.1487 0.0000 x8
Mn: 0.0000 0.5000 0.2500 x4
S: 0.1736 0.4066 0.0000 x8



No. 3
# CsMnSb
Theoretical powder XRD pattern, CuKα. Input: a DFT-relaxed cell (GGA-PBE, the Materials Project).
Lines closer than 0.1° are merged.

Most intense lines, 5° ≤ 2θ ≤ 70°, by angle:
- d 9.358, I = 14, hkl 0 0 1
- d 3.400, I = 37, hkl 1 1 0
- d 3.353, I = 100, hkl 1 0 2
- d 2.751, I = 28, hkl 1 1 2
- d 2.404, I = 36, hkl 2 0 0
- d 2.104, I = 18, hkl 1 0 4
- d 1.954, I = 43, hkl 2 1 2
- d 1.927, I = 20, hkl 1 1 4

Structure:
Lattice parameters (Å, degrees): 4.8083 4.8083 9.3585 90.00 90.00 90.00
Space group P4/nmm (No. 129, origin choice 2)
One atom of each set of equivalent atoms:
Cs: 0.2500 0.2500 0.1573 x2
Mn: 0.2500 0.7500 0.5000 x2
Sb: 0.2500 0.2500 0.6589 x2



> What is the formula in the third record?

CsMnSb